(1)
Starting from a DFT-relaxed cell (PBE, the Materials Project), the powder X-ray diffraction pattern of UH2O4 was simulated for Cu Kα, 1.54184 Å.
Intensities are scaled so that the largest is 100.

Peak list (6 most intense, 5° ≤ 2θ ≤ 70°, low angle first)
hkl 0 2 0, 17.04 deg, rel. 75
hkl 0 0 2, 24.82 deg, rel. 31
hkl 1 1 1, 26.28 deg, rel. 100
hkl 0 2 2, 30.26 deg, rel. 34
hkl 1 3 1, 36.02 deg, rel. 36
hkl 1 1 3, 44.60 deg, rel. 31

Crystal structure
a = 4.1419 Å, b = 10.4068 Å, c = 7.1756 Å
α = 90.00°, β = 90.00°, γ = 90.00°
Space group Cmc2_1 (No. 36)
Symmetry-distinct sites (fractional):
U 0.0000 0.2431 0.0000
H 0.0000 0.0890 0.6354
H 0.0000 0.4272 0.3646
O 0.0000 0.0835 0.1019
O 0.0000 0.1844 0.6455
O 0.0000 0.3315 0.3588
O 0.0000 0.4029 0.8967


(2)
Starting from a DFT-relaxed cell (PBE, the Materials Project), the powder X-ray diffraction pattern of Li2MgCd was simulated for Cu Kα, 1.54184 Å.
Intensities are scaled so that the largest is 100.

Peak list (6 most intense, 5° ≤ 2θ ≤ 70°, low angle first)
hkl 1 1 1, 22.96 deg, rel. 85
hkl 2 0 0, 26.57 deg, rel. 97
hkl 2 2 0, 37.93 deg, rel. 100
hkl 3 1 1, 44.81 deg, rel. 43
hkl 4 2 0, 61.85 deg, rel. 33
hkl 4 2 2, 68.52 deg, rel. 33

Crystal structure
a = 6.7088 Å, b = 6.7088 Å, c = 6.7088 Å
α = 90.00°, β = 90.00°, γ = 90.00°
Space group Fm-3m (No. 225)
Symmetry-distinct sites (fractional):
Li 0.2500 0.2500 0.2500
Mg 0.0000 0.0000 0.0000
Cd 0.0000 0.0000 0.5000


(3)
Starting from a DFT-relaxed cell (PBE, the Materials Project), the powder X-ray diffraction pattern of Sr4LaTi5O15 was simulated for Cu Kα, 1.54184 Å.
Intensities are scaled so that the largest is 100.

Peak list (6 most intense, 5° ≤ 2θ ≤ 70°, low angle first)
hkl 1 1 1, 22.50 deg, rel. 7
hkl 5 1 0, 32.04 deg, rel. 100
hkl 6 0 1, 39.50 deg, rel. 22
hkl 2 2 2, 45.94 deg, rel. 39
hkl 10 0 0, 57.10 deg, rel. 38
hkl 4 0 4, 66.99 deg, rel. 23

Crystal structure
a = 16.7595 Å, b = 5.5900 Å, c = 6.8416 Å
α = 90.00°, β = 105.78°, γ = 90.00°
Space group C2/m (No. 12)
Symmetry-distinct sites (fractional):
Sr 0.1005 0.0000 0.4002
Sr 0.2003 0.5000 0.7999
La 0.0000 0.5000 0.0000
Ti 0.0000 0.5000 0.5000
Ti 0.1009 0.0000 0.9003
Ti 0.2007 0.5000 0.3018
O 0.0000 0.0000 0.0000
O 0.0491 0.2537 0.7046
O 0.0983 0.5000 0.3941
O 0.1473 0.2537 0.0985
O 0.2001 0.0000 0.8008
O 0.2500 0.2500 0.5000


(4)
Starting from a DFT-relaxed cell (PBE, the Materials Project), the powder X-ray diffraction pattern of SmMg2Sc was simulated for Cu Kα, 1.54184 Å.
Intensities are scaled so that the largest is 100.

Peak list (6 most intense, 5° ≤ 2θ ≤ 70°, low angle first)
hkl 1 1 1, 20.66 deg, rel. 41
hkl 2 0 0, 23.89 deg, rel. 42
hkl 2 2 0, 34.05 deg, rel. 100
hkl 3 1 1, 40.16 deg, rel. 23
hkl 4 0 0, 48.92 deg, rel. 18
hkl 4 2 2, 60.94 deg, rel. 36

Crystal structure
a = 7.4480 Å, b = 7.4480 Å, c = 7.4480 Å
α = 90.00°, β = 90.00°, γ = 90.00°
Space group Fm-3m (No. 225)
Symmetry-distinct sites (fractional):
Sm 0.0000 0.0000 0.0000
Mg 0.2500 0.2500 0.2500
Sc 0.0000 0.0000 0.5000


(5)
Starting from a DFT-relaxed cell (PBE, the Materials Project), the powder X-ray diffraction pattern of Sr3UO6 was simulated for Cu Kα, 1.54184 Å.
Intensities are scaled so that the largest is 100.

Peak list (6 most intense, 5° ≤ 2θ ≤ 70°, low angle first)
hkl 1 1 0, 20.39 deg, rel. 22
hkl 0 2 0, 28.47 deg, rel. 24
hkl 1 1 -2, 29.00 deg, rel. 100
hkl 2 0 0, 29.48 deg, rel. 23
hkl 0 0 4, 41.46 deg, rel. 35
hkl 3 1 -2, 52.00 deg, rel. 24

Crystal structure
a = 6.0589 Å, b = 6.2695 Å, c = 8.7064 Å
α = 90.00°, β = 90.12°, γ = 90.00°
Space group P2_1 (No. 4)
Symmetry-distinct sites (fractional):
Sr 0.2392 0.0000 0.0057
Sr 0.2488 0.4511 0.2495
Sr 0.2573 0.9021 0.4956
U 0.2542 0.4506 0.7497
O 0.0296 0.7778 0.1981
O 0.0896 0.7322 0.8173
O 0.1400 0.5101 0.5246
O 0.3652 0.3937 0.9763
O 0.4204 0.1714 0.6792
O 0.4582 0.1189 0.2976